[1]
Diffraction record for Tl2Co3NiSe4. The X-ray powder pattern is simulated, not measured: it uses a structure optimized by DFT (PBE) and Cu Kα (λ = 1.5418 Å).

Crystal structure
```
Tl2Co3NiSe4
1.0
2.720 -6.941 0.000
2.720 6.941 0.000
0.000 0.000 5.433
Tl Co Ni Se
2 3 1 4
Cartesian
1.360 3.471 1.353
1.360 -3.471 4.079
0.000 0.000 0.000
2.720 0.000 0.000
2.720 0.000 2.716
0.000 0.000 2.716
1.383 1.370 4.096
1.383 -1.370 1.336
4.056 1.370 1.336
4.056 -1.370 4.096
```

Peak list (10 most intense, 2θ from 10° to 90°, sorted by position)
2θ (°)	I (rel.)
24.0	16
25.7	12
30.2	100
33.0	17
35.5	40
40.1	14
47.3	27
51.9	37
57.2	33
63.7	9

---

[2]
Diffraction record for TbAl8Ni3. The X-ray powder pattern is simulated, not measured: it uses a structure optimized by DFT (PBE) and Cu Kα (λ = 1.5418 Å).

Crystal structure
```
TbAl8Ni3
1.0
6.240 0.000 0.000
0.000 2.019 7.866
0.000 -2.019 7.866
Tb Al Ni
1 8 3
Cartesian
0.000 0.000 0.000
0.000 0.000 3.015
1.408 0.000 12.557
1.620 0.000 9.778
1.836 0.000 6.807
3.120 0.000 0.858
4.405 0.000 6.807
4.621 0.000 9.778
4.832 0.000 12.557
0.000 0.000 5.326
3.120 0.000 4.711
3.120 0.000 14.253
```

Peak list (10 most intense, 2θ from 10° to 90°, sorted by position)
2θ (°)	I (rel.)
11.2	100
18.1	27
27.9	47
28.6	27
31.4	31
36.8	92
37.2	39
39.1	67
40.4	56
44.9	38

---

[3]
Diffraction record for Cr4Ir5. The X-ray powder pattern is simulated, not measured: it uses a structure optimized by DFT (PBE) and Cu Kα (λ = 1.5418 Å).

Crystal structure
```
Cr4Ir5
1.0
-1.371 4.344 5.090
1.371 -4.344 5.090
1.371 4.344 -5.090
Cr Ir
4 5
Cartesian
1.371 -2.604 3.435
0.000 1.740 1.655
1.371 2.604 3.435
0.000 6.948 1.655
1.371 0.000 0.000
1.371 0.000 2.914
1.371 3.050 0.000
0.000 1.294 5.090
0.000 4.344 2.176
```

Peak list (10 most intense, 2θ from 10° to 90°, sorted by position)
2θ (°)	I (rel.)
20.4	23
32.1	28
33.8	24
35.3	36
38.7	30
41.0	97
42.4	100
45.6	94
58.9	35
82.9	29